Starting from a structure optimized by DFT (PBE), the X-ray diffraction stick pattern of LaY2In9 was computed for Cu Kα (weighted mean of Kα1 and Kα2).
Neutral-atom scattering factors, no anomalous dispersion.

Structure:
Cell: 4.6969 4.6969 14.0613 Å, 90.00 90.00 90.00°
Space group P4/mmm (No. 123)
Symmetry-distinct sites (fractional):
La  0.0000  0.0000  0.0000
Y  0.0000  0.0000  0.3373
In  0.0000  0.5000  0.1724
In  0.0000  0.5000  0.5000
In  0.5000  0.5000  0.0000
In  0.5000  0.5000  0.3346

Principal peaks in the range 2θ = 10–80°, sorted by position:
2θ = 29.75°, rel. 5, hkl 1 1 2
2θ = 33.06°, rel. 1000, hkl 1 1 3
2θ = 38.35°, rel. 496, hkl 2 0 0
2θ = 55.36°, rel. 329, hkl 2 2 0
2θ = 65.98°, rel. 257, hkl 3 1 3
2θ = 66.09°, rel. 123, hkl 1 1 9
2θ = 69.36°, rel. 109, hkl 2 2 6

Starting from a structure optimized by DFT (PBE), the X-ray diffraction stick pattern of LaY4In2 was computed for Cu Kα (weighted mean of Kα1 and Kα2).
Neutral-atom scattering factors, no anomalous dispersion.

Structure:
Cell: 8.4171 6.6441 8.4365 Å, 90.00 116.35 90.00°
Space group P2_1/m (No. 11)
Symmetry-distinct sites (fractional):
La  0.2472  0.2500  0.3132
Y  0.0429  0.7500  0.5417
Y  0.0933  0.2500  0.8810
Y  0.4248  0.0055  0.7691
In  0.2058  0.7500  0.9721
In  0.3348  0.7500  0.3967

Principal peaks in the range 2θ = 10–80°, sorted by position:
2θ = 26.84°, rel. 456, hkl 0 2 0
2θ = 29.38°, rel. 503, hkl 1 2 0
2θ = 29.64°, rel. 394, hkl 1 2 -1
2θ = 30.81°, rel. 687, hkl 1 0 2
2θ = 32.15°, rel. 794, hkl 3 0 -1
2θ = 32.83°, rel. 1000, hkl 2 0 -3
2θ = 33.70°, rel. 786, hkl 1 1 2
2θ = 34.41°, rel. 751, hkl 2 2 -1
2θ = 36.01°, rel. 534, hkl 0 2 2
2θ = 65.85°, rel. 420, hkl 2 4 -3

Starting from a structure optimized by DFT (PBE), the X-ray diffraction stick pattern of LaY2Zn2In2 was computed for Cu Kα (weighted mean of Kα1 and Kα2).
Neutral-atom scattering factors, no anomalous dispersion.

Structure:
Cell: 4.7425 4.7425 28.3384 Å, 90.00 90.00 120.00°
Space group R-3m (No. 166, hexagonal axes)
Symmetry-distinct sites (fractional):
La  0.0000  0.0000  0.0000
Y  0.0000  0.0000  0.1292
Zn  0.0000  0.0000  0.4068
In  0.0000  0.0000  0.2581

Principal peaks in the range 2θ = 10–80°, sorted by position:
2θ = 18.79°, rel. 151, hkl 0 0 6
2θ = 31.02°, rel. 727, hkl 1 0 7
2θ = 33.40°, rel. 811, hkl 0 1 8
2θ = 37.94°, rel. 1000, hkl 1 1 0
2θ = 49.79°, rel. 189, hkl 0 2 7
2θ = 51.43°, rel. 233, hkl 2 0 8
2θ = 62.90°, rel. 304, hkl 1 1 15
2θ = 64.26°, rel. 171, hkl 2 1 7
2θ = 65.67°, rel. 219, hkl 1 2 8
2θ = 68.54°, rel. 167, hkl 3 0 0

Starting from a structure optimized by DFT (PBE), the X-ray diffraction stick pattern of La2Zn3In2 was computed for Cu Kα (weighted mean of Kα1 and Kα2).
Neutral-atom scattering factors, no anomalous dispersion.

Structure:
Cell: 11.4395 4.6604 6.9498 Å, 90.00 113.88 90.00°
Space group C2/m (No. 12)
Symmetry-distinct sites (fractional):
La  0.1500  0.0000  0.2656
Zn  0.0000  0.5000  0.5000
Zn  0.0785  0.5000  0.9107
In  0.1532  0.0000  0.7660

Principal peaks in the range 2θ = 10–80°, sorted by position:
2θ = 28.08°, rel. 286, hkl 0 0 2
2θ = 32.06°, rel. 1000, hkl 3 1 0
2θ = 32.26°, rel. 571, hkl 1 1 -2
2θ = 34.29°, rel. 187, hkl 4 0 0
2θ = 34.48°, rel. 183, hkl 4 0 -2
2θ = 35.25°, rel. 593, hkl 3 1 -2
2θ = 38.03°, rel. 299, hkl 1 1 2
2θ = 38.65°, rel. 683, hkl 0 2 0
2θ = 60.14°, rel. 153, hkl 7 1 -2
2θ = 65.80°, rel. 139, hkl 3 3 0

Starting from a structure optimized by DFT (PBE), the X-ray diffraction stick pattern of La3Zn4In4 was computed for Cu Kα (weighted mean of Kα1 and Kα2).
Neutral-atom scattering factors, no anomalous dispersion.

Structure:
Cell: 4.6670 7.5113 15.4942 Å, 90.00 90.00 90.00°
Space group Immm (No. 71)
Symmetry-distinct sites (fractional):
La  0.0000  0.0000  0.0000
La  0.0000  0.5000  0.1268
Zn  0.0000  0.0000  0.2195
Zn  0.0000  0.1703  0.5000
In  0.0000  0.3062  0.3381

Principal peaks in the range 2θ = 10–80°, sorted by position:
2θ = 31.11°, rel. 921, hkl 1 2 1
2θ = 31.22°, rel. 216, hkl 0 1 5
2θ = 32.31°, rel. 1000, hkl 1 1 4
2θ = 34.74°, rel. 272, hkl 0 0 6
2θ = 35.25°, rel. 301, hkl 1 2 3
2θ = 38.58°, rel. 453, hkl 2 0 0
2θ = 40.02°, rel. 393, hkl 0 3 3
2θ = 52.88°, rel. 204, hkl 2 0 6
2θ = 56.80°, rel. 276, hkl 2 3 3
2θ = 65.87°, rel. 177, hkl 3 1 4

Starting from a structure optimized by DFT (PBE), the X-ray diffraction stick pattern of Li5In3 was computed for Cu Kα (weighted mean of Kα1 and Kα2).
Neutral-atom scattering factors, no anomalous dispersion.

Structure:
Cell: 5.5561 7.3688 8.2053 Å, 80.50 74.88 71.90°
Space group P-1 (No. 2)
Symmetry-distinct sites (fractional):
Li  0.0256  0.1432  0.2210
Li  0.1014  0.4561  0.6586
Li  0.1573  0.7782  0.0951
Li  0.2385  0.0935  0.5182
Li  0.4723  0.3564  0.2817
In  0.2837  0.4000  0.9779
In  0.3135  0.7210  0.4192
In  0.3964  0.0204  0.8310

Principal peaks in the range 2θ = 10–80°, sorted by position:
2θ = 17.23°, rel. 628, hkl 1 0 0
2θ = 18.69°, rel. 570, hkl 1 1 1
2θ = 24.05°, rel. 529, hkl 1 1 -1
2θ = 24.90°, rel. 648, hkl 0 1 2
2θ = 25.56°, rel. 482, hkl 1 -1 1
2θ = 37.20°, rel. 549, hkl 2 0 2
2θ = 37.26°, rel. 516, hkl -1 2 1
2θ = 37.68°, rel. 1000, hkl 1 3 0
2θ = 38.22°, rel. 467, hkl 1 2 3
2θ = 38.36°, rel. 461, hkl 2 1 -1

Starting from a structure optimized by DFT (PBE), the X-ray diffraction stick pattern of Li5In was computed for Cu Kα (weighted mean of Kα1 and Kα2).
Neutral-atom scattering factors, no anomalous dispersion.

Structure:
Cell: 8.2343 4.7464 5.7068 Å, 90.00 92.23 90.00°
Space group C2/m (No. 12)
Symmetry-distinct sites (fractional):
Li  0.0000  0.0000  0.0000
Li  0.1645  0.5000  0.2686
Li  0.1688  0.5000  0.7345
In  0.0000  0.0000  0.5000

Principal peaks in the range 2θ = 10–80°, sorted by position:
2θ = 15.54°, rel. 742, hkl 0 0 1
2θ = 21.61°, rel. 1000, hkl 2 0 0
2θ = 26.21°, rel. 203, hkl 2 0 -1
2θ = 26.48°, rel. 397, hkl 1 1 -1
2θ = 26.98°, rel. 381, hkl 1 1 1
2θ = 27.22°, rel. 187, hkl 2 0 1
2θ = 37.90°, rel. 382, hkl 3 1 0
2θ = 38.06°, rel. 217, hkl 1 1 -2
2θ = 38.78°, rel. 204, hkl 1 1 2
2θ = 44.04°, rel. 152, hkl 4 0 0

Starting from a structure optimized by DFT (PBE), the X-ray diffraction stick pattern of Li2In was computed for Cu Kα (weighted mean of Kα1 and Kα2).
Neutral-atom scattering factors, no anomalous dispersion.

Structure:
Cell: 12.6283 12.6283 12.6283 Å, 90.00 90.00 90.00°
Space group Fd-3m (No. 227, origin choice 2)
Symmetry-distinct sites (fractional):
Li  0.0000  0.0000  0.0000
Li  0.0769  0.3750  0.8750
In  0.0356  0.0356  0.2144

Principal peaks in the range 2θ = 10–80°, sorted by position:
2θ = 12.14°, rel. 981, hkl 1 1 1
2θ = 24.42°, rel. 981, hkl 2 2 2
2θ = 28.27°, rel. 358, hkl 4 0 0
2θ = 30.86°, rel. 357, hkl 3 3 1
2θ = 36.99°, rel. 1000, hkl 3 3 3
2θ = 42.97°, rel. 385, hkl 4 4 2
2θ = 45.42°, rel. 184, hkl 6 2 0
2θ = 51.69°, rel. 332, hkl 7 1 1
2θ = 62.40°, rel. 200, hkl 6 6 0
2θ = 68.04°, rel. 294, hkl 8 4 2

Starting from a structure optimized by DFT (PBE), the X-ray diffraction stick pattern of Li2In was computed for Cu Kα (weighted mean of Kα1 and Kα2).
Neutral-atom scattering factors, no anomalous dispersion.

Structure:
Cell: 4.6616 4.6604 5.6277 Å, 90.00 114.20 90.00°
Space group P2_1/m (No. 11)
Symmetry-distinct sites (fractional):
Li  0.0862  0.2500  0.1776
Li  0.2573  0.7500  0.5115
In  0.4058  0.2500  0.8187

Principal peaks in the range 2θ = 10–80°, sorted by position:
2θ = 17.28°, rel. 185, hkl 0 0 1
2θ = 20.93°, rel. 1000, hkl 1 0 -1
2θ = 25.82°, rel. 693, hkl 0 1 1
2θ = 28.44°, rel. 390, hkl 1 1 0
2θ = 37.84°, rel. 389, hkl 1 1 1
2θ = 37.97°, rel. 389, hkl 1 1 -2
2θ = 38.63°, rel. 375, hkl 0 2 0
2θ = 40.11°, rel. 153, hkl 0 1 2
2θ = 44.35°, rel. 276, hkl 1 2 -1
2θ = 46.98°, rel. 139, hkl 2 1 0

Starting from a structure optimized by DFT (PBE), the X-ray diffraction stick pattern of LiIn3 was computed for Cu Kα (weighted mean of Kα1 and Kα2).
Neutral-atom scattering factors, no anomalous dispersion.

Structure:
Cell: 3.3855 3.3855 28.8872 Å, 90.00 90.00 120.00°
Space group R-3m (No. 166, hexagonal axes)
Symmetry-distinct sites (fractional):
Li  0.0000  0.0000  0.0000
In  0.0000  0.0000  0.2560
In  0.0000  0.0000  0.5000

Principal peaks in the range 2θ = 10–80°, sorted by position:
2θ = 27.79°, rel. 150, hkl 0 0 9
2θ = 30.65°, rel. 141, hkl 1 0 1
2θ = 32.97°, rel. 1000, hkl 1 0 4
2θ = 34.30°, rel. 174, hkl 0 1 5
2θ = 37.36°, rel. 210, hkl 0 0 12
2θ = 39.60°, rel. 575, hkl 0 1 8
2θ = 54.19°, rel. 238, hkl 1 1 0
2θ = 60.19°, rel. 134, hkl 1 0 16
2θ = 64.91°, rel. 134, hkl 0 2 4
2θ = 67.66°, rel. 208, hkl 1 1 12

Starting from a structure optimized by DFT (PBE), the X-ray diffraction stick pattern of LiIn2 was computed for Cu Kα (weighted mean of Kα1 and Kα2).
Neutral-atom scattering factors, no anomalous dispersion.

Structure:
Cell: 3.2447 6.0712 7.4241 Å, 107.45 93.11 99.52°
Space group P-1 (No. 2)
Symmetry-distinct sites (fractional):
Li  0.0343  0.0597  0.3048
In  0.3428  0.6426  0.3694
In  0.3857  0.7342  0.9674

Principal peaks in the range 2θ = 10–80°, sorted by position:
2θ = 15.59°, rel. 774, hkl 0 1 0
2θ = 25.26°, rel. 993, hkl 0 1 -2
2θ = 28.06°, rel. 659, hkl 1 0 0
2θ = 33.75°, rel. 1000, hkl 0 2 -2
2θ = 34.85°, rel. 726, hkl 1 1 0
2θ = 35.91°, rel. 687, hkl 1 0 -2
2θ = 37.66°, rel. 437, hkl 0 2 1
2θ = 37.94°, rel. 613, hkl 1 -1 2
2θ = 38.23°, rel. 638, hkl 1 -2 0
2θ = 38.36°, rel. 477, hkl 0 0 3

Starting from a structure optimized by DFT (PBE), the X-ray diffraction stick pattern of Li13In3 was computed for Cu Kα (weighted mean of Kα1 and Kα2).
Neutral-atom scattering factors, no anomalous dispersion.

Structure:
Cell: 13.2566 13.2566 13.2566 Å, 90.00 90.00 90.00°
Space group Fd-3m (No. 227, origin choice 2)
Symmetry-distinct sites (fractional):
Li  0.0000  0.0000  0.0000
Li  0.0058  0.0058  0.7442
Li  0.1220  0.3750  0.3750
Li  0.1250  0.1250  0.6250
In  0.0000  0.0000  0.5000
In  0.1250  0.1250  0.1250

Principal peaks in the range 2θ = 10–80°, sorted by position:
2θ = 18.93°, rel. 252, hkl 2 2 0
2θ = 22.24°, rel. 1000, hkl 3 1 1
2θ = 23.24°, rel. 414, hkl 2 2 2
2θ = 35.18°, rel. 423, hkl 5 1 1
2θ = 38.41°, rel. 581, hkl 4 4 0
2θ = 44.83°, rel. 155, hkl 5 3 3
2θ = 45.38°, rel. 207, hkl 6 2 2
2θ = 53.06°, rel. 273, hkl 5 5 3
2θ = 60.48°, rel. 145, hkl 5 5 5
2θ = 69.47°, rel. 193, hkl 8 4 4

Starting from a structure optimized by DFT (PBE), the X-ray diffraction stick pattern of Li5In4 was computed for Cu Kα (weighted mean of Kα1 and Kα2).
Neutral-atom scattering factors, no anomalous dispersion.

Structure:
Cell: 4.7709 4.7709 8.8979 Å, 90.00 90.00 120.00°
Space group P-3m1 (No. 164)
Symmetry-distinct sites (fractional):
Li  0.0000  0.0000  0.0000
Li  0.3333  0.6667  0.1225
Li  0.3333  0.6667  0.4541
In  0.0000  0.0000  0.3325
In  0.3333  0.6667  0.7977

Principal peaks in the range 2θ = 10–80°, sorted by position:
2θ = 19.96°, rel. 407, hkl 0 0 2
2θ = 23.74°, rel. 1000, hkl 0 1 1
2θ = 37.32°, rel. 747, hkl 0 1 3
2θ = 37.71°, rel. 663, hkl 1 1 0
2θ = 43.02°, rel. 331, hkl 1 1 2
2θ = 45.05°, rel. 178, hkl 2 0 1
2θ = 46.36°, rel. 162, hkl 1 0 4
2θ = 54.10°, rel. 248, hkl 2 0 3
2θ = 60.16°, rel. 146, hkl 1 2 1
2θ = 67.82°, rel. 246, hkl 1 2 3